Starting from a crystal structure in Alexandria, relaxed with PBE, the PXRD pattern of K2Zr was simulated for copper Kα.
Neutral-atom scattering factors, no anomalous dispersion.

Atomic structure:
a = 3.666 Å, b = 36.823 Å, c = 4.420 Å
α = 90.00°, β = 90.00°, γ = 90.00°
Atoms (fractional coordinates):
K (0.000, 0.053, 0.250)
K (0.000, 0.341, 0.250)
K (0.000, 0.659, 0.750)
K (0.000, 0.947, 0.750)
K (0.500, 0.159, 0.750)
K (0.500, 0.447, 0.750)
K (0.500, 0.553, 0.250)
K (0.500, 0.841, 0.250)
Zr (0.000, 0.253, 0.750)
Zr (0.000, 0.747, 0.250)
Zr (0.500, 0.247, 0.250)
Zr (0.500, 0.753, 0.750)

Most intense lines, 2θ from 5° to 70°, sorted by position:
hkl 0 4 0, d 9.206, intensity 100; hkl 0 6 0, d 6.137, intensity 36; hkl 0 4 1, d 3.985, intensity 22; hkl 0 10 0, d 3.682, intensity 62; hkl 1 3 1, d 2.750, intensity 71; hkl 1 5 1, d 2.634, intensity 36; hkl 1 7 1, d 2.487, intensity 65; hkl 1 17 1, d 1.718, intensity 21

Starting from a crystal structure in Alexandria, relaxed with PBE, the PXRD pattern of Cd2Os was simulated for copper Kα.
Neutral-atom scattering factors, no anomalous dispersion.

Atomic structure:
a = 4.611 Å, b = 11.345 Å, c = 4.332 Å
α = 90.00°, β = 90.00°, γ = 90.00°
Atoms (fractional coordinates):
Cd (0.000, 0.088, 0.250)
Cd (0.000, 0.253, 0.750)
Cd (0.000, 0.747, 0.250)
Cd (0.000, 0.912, 0.750)
Cd (0.500, 0.247, 0.250)
Cd (0.500, 0.412, 0.750)
Cd (0.500, 0.588, 0.250)
Cd (0.500, 0.753, 0.750)
Os (0.000, 0.448, 0.250)
Os (0.000, 0.552, 0.750)
Os (0.500, 0.052, 0.750)
Os (0.500, 0.948, 0.250)

Most intense lines, 2θ from 5° to 70°, sorted by position:
hkl 0 2 0, d 5.673, intensity 10; hkl 1 1 0, d 4.272, intensity 9; hkl 1 3 1, d 2.424, intensity 100; hkl 2 0 0, d 2.306, intensity 25; hkl 0 0 2, d 2.166, intensity 21; hkl 0 6 0, d 1.891, intensity 7; hkl 2 0 2, d 1.579, intensity 15; hkl 3 3 1, d 1.353, intensity 15